# 1
Structure and computed powder diffraction line list of TmOs2 (a GGA-PBE-relaxed structure; Cu Kα, 1.54184 Å).

Structure:
```
TmOs2
1.0
5.309 0.000 0.000
-2.655 4.598 0.000
0.000 0.000 8.715
Tm Os
4 8
direct
0.333 0.667 0.065
0.333 0.667 0.435
0.667 0.333 0.565
0.667 0.333 0.935
0.000 0.000 0.000
0.000 0.000 0.500
0.173 0.346 0.750
0.173 0.827 0.750
0.346 0.173 0.250
0.654 0.827 0.750
0.827 0.173 0.250
0.827 0.654 0.250
```

Top 10 peaks for 2θ from 5° to 70°, by angle:
33.76°, I = 25
36.59°, I = 70
39.76°, I = 100
40.58°, I = 93
41.45°, I = 22
44.56°, I = 25
62.25°, I = 24
64.44°, I = 25
67.43°, I = 33
69.14°, I = 13


# 2
Structure and computed powder diffraction line list of TmOs3 (a GGA-PBE-relaxed structure; Cu Kα, 1.54184 Å).

Structure:
```
TmOs3
1.0
5.770 0.000 0.000
-2.885 4.997 0.000
0.000 0.000 4.597
Tm Os
2 6
direct
0.333 0.667 0.250
0.667 0.333 0.750
0.162 0.323 0.750
0.162 0.838 0.750
0.323 0.162 0.250
0.677 0.838 0.750
0.838 0.162 0.250
0.838 0.677 0.250
```

Top 6 peaks for 2θ from 5° to 70°, by angle:
17.75°, I = 1
35.94°, I = 24
39.19°, I = 26
41.12°, I = 100
54.22°, I = 15
64.61°, I = 18


# 3
Structure and computed powder diffraction line list of Tm2ZnOs (a GGA-PBE-relaxed structure; Cu Kα, 1.54184 Å).

Structure:
```
Tm2ZnOs
1.0
0.000 3.424 3.424
3.424 0.000 3.424
3.424 3.424 0.000
Tm Zn Os
2 1 1
direct
0.250 0.250 0.250
0.750 0.750 0.750
0.000 0.000 0.000
0.500 0.500 0.500
```

Top 9 peaks for 2θ from 5° to 70°, by angle:
22.49°, I = 9
26.03°, I = 2
37.14°, I = 100
43.85°, I = 5
45.91°, I = 1
53.53°, I = 18
58.78°, I = 2
60.46°, I = 1
66.95°, I = 36


# 4
Structure and computed powder diffraction line list of UOs2 (a GGA-PBE-relaxed structure; Cu Kα, 1.54184 Å).

Structure:
```
UOs2
1.0
5.384 0.000 0.000
-2.692 4.662 0.000
0.000 0.000 8.532
U Os
4 8
direct
0.333 0.667 0.076
0.333 0.667 0.424
0.667 0.333 0.576
0.667 0.333 0.924
0.000 0.000 0.000
0.000 0.000 0.500
0.170 0.341 0.750
0.170 0.830 0.750
0.341 0.170 0.250
0.659 0.830 0.750
0.830 0.170 0.250
0.830 0.659 0.250
```

Top 10 peaks for 2θ from 5° to 70°, by angle:
33.28°, I = 39
37.03°, I = 89
39.59°, I = 95
40.10°, I = 100
44.28°, I = 19
61.95°, I = 37
63.73°, I = 24
68.10°, I = 28
69.12°, I = 19
69.89°, I = 33


# 5
Structure and computed powder diffraction line list of U4Os (a GGA-PBE-relaxed structure; Cu Kα, 1.54184 Å).

Structure:
```
U4Os
1.0
0.000 4.926 4.926
4.926 0.000 4.926
4.926 4.926 0.000
U Os
8 2
direct
0.165 0.778 0.778
0.222 0.222 0.222
0.222 0.222 0.835
0.222 0.835 0.222
0.778 0.165 0.778
0.778 0.778 0.165
0.778 0.778 0.778
0.835 0.222 0.222
0.375 0.375 0.375
0.625 0.625 0.625
```

Top 10 peaks for 2θ from 5° to 70°, by angle:
15.58°, I = 10
25.57°, I = 40
31.45°, I = 100
36.48°, I = 23
39.88°, I = 56
47.98°, I = 70
52.54°, I = 33
56.00°, I = 15
62.53°, I = 12
67.94°, I = 26


# 6
Structure and computed powder diffraction line list of UOs2 (a GGA-PBE-relaxed structure; Cu Kα, 1.54184 Å).

Structure:
```
UOs2
1.0
0.000 3.760 3.760
3.760 0.000 3.760
3.760 3.760 0.000
U Os
2 4
direct
0.125 0.125 0.125
0.875 0.875 0.875
0.000 0.500 0.500
0.500 0.000 0.500
0.500 0.500 0.000
0.500 0.500 0.500
```

Top 7 peaks for 2θ from 5° to 70°, by angle:
20.45°, I = 1
33.71°, I = 33
39.75°, I = 100
41.60°, I = 34
48.41°, I = 2
60.29°, I = 13
64.37°, I = 33